For Cs2MoS2O2, a crystal structure in Alexandria, relaxed with PBE+U gives the simulated powder X-ray diffraction pattern in this record (Cu Kα (weighted mean of Kα1 and Kα2)).
Kinematic intensities with the Lorentz-polarization factor, no thermal factor.

Cell and atoms:
a b c (Å): 9.9911 7.8447 11.2174
angles (deg): 90.00 90.00 90.00
Fractional positions:
Cs 0.1305 0.2057 0.0858
Cs 0.1305 0.7943 0.5858
Cs 0.3695 0.2943 0.5858
Cs 0.3695 0.7057 0.0858
Cs 0.6305 0.2943 0.9142
Cs 0.6305 0.7057 0.4142
Cs 0.8695 0.2057 0.4142
Cs 0.8695 0.7943 0.9142
Mo 0.0000 0.3087 0.7500
Mo 0.0000 0.6913 0.2500
Mo 0.5000 0.1913 0.2500
Mo 0.5000 0.8087 0.7500
S 0.1622 0.4745 0.8247
S 0.1622 0.5255 0.3247
S 0.3378 0.0255 0.3247
S 0.3378 0.9745 0.8247
S 0.6622 0.0255 0.1753
S 0.6622 0.9745 0.6753
S 0.8378 0.4745 0.6753
S 0.8378 0.5255 0.1753
O 0.0651 0.1799 0.6328
O 0.0651 0.8201 0.1328
O 0.4349 0.3201 0.1328
O 0.4349 0.6799 0.6328
O 0.5651 0.3201 0.3672
O 0.5651 0.6799 0.8672
O 0.9349 0.1799 0.8672
O 0.9349 0.8201 0.3672

The 10 most intense peaks (10° ≤ 2θ ≤ 90°), by angle:
2θ = 18.14°, I 36, (1 0 2); 2θ = 21.41°, I 17, (1 1 2); 2θ = 22.54°, I 100, (2 1 1); 2θ = 22.67°, I 38, (0 2 0); 2θ = 24.04°, I 19, (0 2 1); 2θ = 26.46°, I 25, (2 1 2); 2θ = 27.90°, I 87, (1 1 3); 2θ = 29.19°, I 49, (1 2 2); 2θ = 30.22°, I 42, (3 1 1); 2θ = 33.17°, I 30, (1 0 4)